# 1
Theoretical XRD peak list of KLi2Ta2O7 for Cu Kα, 1.54184 Å, from the GGA-PBE geometry in Alexandria.
Kinematic intensities with the Lorentz-polarization factor, no thermal factor.

The 10 most intense peaks (2θ = 5–70°), by angle:
| d [Å] | 2θ (°) | Rel. int. | (hkl) |
| --- | --- | --- | --- |
| 4.592 | 19.3 | 57 | 0 0 4 |
| 3.911 | 22.7 | 100 | 1 0 1 |
| 3.350 | 26.6 | 63 | 1 0 3 |
| 2.830 | 31.6 | 48 | 1 1 0 |
| 2.706 | 33.1 | 65 | 1 0 5 |
| 2.001 | 45.3 | 34 | 2 0 0 |
| 1.835 | 49.7 | 25 | 0 0 10 |
| 1.818 | 50.2 | 24 | 1 0 9 |
| 1.782 | 51.3 | 40 | 1 1 8 |
| 1.609 | 57.3 | 27 | 2 1 5 |

Crystal structure
Cell lengths 4.0020, 4.0032, 18.3677 Å; angles 90.00, 90.00, 90.00 degrees
Space group Immm (No. 71)
Asymmetric unit:
K: 0.0000 0.0000 0.0000 [2 per cell]
Li: 0.0000 0.5000 0.2503 [4 per cell]
Ta: 0.0000 0.0000 0.3856 [4 per cell]
O: 0.0000 0.0000 0.2817 [4 per cell]
O: 0.0000 0.0000 0.5000 [2 per cell]
O: 0.0000 0.5000 0.1095 [4 per cell]
O: 0.0000 0.5000 0.3903 [4 per cell]

# 2
Theoretical XRD peak list of KLi3Te4O12 for Cu Kα, 1.54184 Å, from the GGA-PBE geometry in Alexandria.
Kinematic intensities with the Lorentz-polarization factor, no thermal factor.

The 10 most intense peaks (2θ = 5–70°), by angle:
| d [Å] | 2θ (°) | Rel. int. | (hkl) |
| --- | --- | --- | --- |
| 5.566 | 15.9 | 2 | 1 1 0 |
| 3.936 | 22.6 | 100 | 2 0 0 |
| 2.783 | 32.2 | 86 | 2 2 0 |
| 2.489 | 36.1 | 5 | 3 1 0 |
| 2.272 | 39.7 | 15 | 2 2 2 |
| 2.104 | 43.0 | 4 | 3 2 1 |
| 1.968 | 46.1 | 26 | 4 0 0 |
| 1.760 | 52.0 | 43 | 4 0 2 |
| 1.607 | 57.3 | 44 | 4 2 2 |
| 1.391 | 67.3 | 13 | 4 4 0 |

Crystal structure
Cell lengths 7.8714, 7.8714, 7.8714 Å; angles 90.00, 90.00, 90.00 degrees
Space group Im-3 (No. 204)
Asymmetric unit:
K: 0.0000 0.0000 0.0000 [2 per cell]
Li: 0.0000 0.0000 0.5000 [6 per cell]
Te: 0.2500 0.2500 0.2500 [8 per cell]
O: 0.0000 0.1898 0.3051 [24 per cell]

# 3
Theoretical XRD peak list of K3Li3TeO6 for Cu Kα, 1.54184 Å, from the GGA-PBE geometry in Alexandria.
Kinematic intensities with the Lorentz-polarization factor, no thermal factor.

The 10 most intense peaks (2θ = 5–70°), by angle:
| d [Å] | 2θ (°) | Rel. int. | (hkl) |
| --- | --- | --- | --- |
| 5.162 | 17.2 | 31 | 0 1 1 |
| 4.733 | 18.7 | 100 | 1 1 1 |
| 4.552 | 19.5 | 52 | 1 0 2 |
| 3.893 | 22.8 | 30 | 2 1 1 |
| 3.139 | 28.4 | 69 | 3 1 1 |
| 3.029 | 29.5 | 34 | 0 2 0 |
| 2.889 | 31.0 | 42 | 0 1 3 |
| 2.161 | 41.8 | 33 | 3 2 2 |
| 2.119 | 42.7 | 33 | 4 2 0 |
| 2.069 | 43.7 | 41 | 4 1 3 |

Crystal structure
Cell lengths 11.8607, 6.0582, 9.8591 Å; angles 90.00, 90.00, 90.00 degrees
Space group Pnma (No. 62)
Asymmetric unit:
K: 0.0068 0.2500 0.2105 [4 per cell]
K: 0.0276 0.2500 0.8742 [4 per cell]
K: 0.0382 0.7500 0.4573 [4 per cell]
Li: 0.2440 0.5058 0.8351 [8 per cell]
Li: 0.2492 0.2500 0.0907 [4 per cell]
Te: 0.2441 0.2500 0.5864 [4 per cell]
O: 0.1471 0.0118 0.6614 [8 per cell]
O: 0.1588 0.5131 0.0136 [8 per cell]
O: 0.1634 0.2500 0.4099 [4 per cell]
O: 0.1752 0.7500 0.2603 [4 per cell]

# 4
Theoretical XRD peak list of K3LiTi7O16 for Cu Kα, 1.54184 Å, from the GGA-PBE geometry in Alexandria.
Kinematic intensities with the Lorentz-polarization factor, no thermal factor.

The 10 most intense peaks (2θ = 5–70°), by angle:
| d [Å] | 2θ (°) | Rel. int. | (hkl) |
| --- | --- | --- | --- |
| 8.006 | 11.1 | 100 | 0 0 1 |
| 3.354 | 26.6 | 18 | 1 -2 1 |
| 3.135 | 28.5 | 41 | 1 1 1 |
| 3.084 | 29.0 | 34 | 1 1 -2 |
| 2.807 | 31.9 | 10 | -2 2 1 |
| 2.669 | 33.6 | 9 | 0 0 3 |
| 2.399 | 37.5 | 38 | 2 -2 2 |
| 1.993 | 45.5 | 23 | 2 -2 3 |
| 1.912 | 47.5 | 23 | 2 2 -1 |
| 1.651 | 55.7 | 9 | 3 -1 3 |

Crystal structure
Cell lengths 7.1111, 7.1126, 8.2007 Å; angles 96.77, 96.61, 114.92 degrees
Space group P1 (No. 1)
Asymmetric unit:
K: 0.0000 0.0000 0.0000 [1 per cell]
K: 0.3267 0.6622 0.9519 [1 per cell]
K: 0.6641 0.3247 0.9534 [1 per cell]
Li: 0.8405 0.8435 0.3231 [1 per cell]
Ti: 0.0289 0.2781 0.5862 [1 per cell]
Ti: 0.0867 0.6062 0.3205 [1 per cell]
Ti: 0.2746 0.0326 0.5864 [1 per cell]
Ti: 0.3509 0.3541 0.3403 [1 per cell]
Ti: 0.5374 0.7878 0.5873 [1 per cell]
Ti: 0.6031 0.0897 0.3204 [1 per cell]
Ti: 0.7842 0.5409 0.5876 [1 per cell]
O: 0.0255 0.7630 0.5272 [1 per cell]
O: 0.1212 0.1243 0.4066 [1 per cell]
O: 0.1813 0.1853 0.7345 [1 per cell]
O: 0.1907 0.4363 0.1957 [1 per cell]
O: 0.2719 0.5228 0.5405 [1 per cell]
O: 0.3626 0.8638 0.3937 [1 per cell]
O: 0.4338 0.1937 0.1958 [1 per cell]
O: 0.4386 0.9429 0.7288 [1 per cell]
O: 0.5194 0.2753 0.5406 [1 per cell]
O: 0.6082 0.6115 0.4070 [1 per cell]
O: 0.6737 0.9587 0.1662 [1 per cell]
O: 0.6987 0.7027 0.7346 [1 per cell]
O: 0.7595 0.0289 0.5271 [1 per cell]
O: 0.8606 0.3658 0.3939 [1 per cell]
O: 0.9397 0.4429 0.7288 [1 per cell]
O: 0.9552 0.6758 0.1664 [1 per cell]

# 5
Theoretical XRD peak list of KLiTlO2 for Cu Kα, 1.54184 Å, from the GGA-PBE geometry in Alexandria.
Kinematic intensities with the Lorentz-polarization factor, no thermal factor.

The 10 most intense peaks (2θ = 5–70°), by angle:
| d [Å] | 2θ (°) | Rel. int. | (hkl) |
| --- | --- | --- | --- |
| 6.372 | 13.9 | 100 | 0 2 0 |
| 4.616 | 19.2 | 64 | 0 0 1 |
| 3.738 | 23.8 | 76 | 0 2 1 |
| 3.186 | 28.0 | 31 | 0 4 0 |
| 3.053 | 29.3 | 59 | 2 2 0 |
| 2.778 | 32.2 | 36 | 2 0 1 |
| 2.622 | 34.2 | 28 | 0 4 1 |
| 2.546 | 35.2 | 58 | 2 2 1 |
| 2.170 | 41.6 | 25 | 0 2 2 |
| 2.094 | 43.2 | 37 | 2 4 1 |

Crystal structure
Cell lengths 6.9551, 12.7440, 4.6159 Å; angles 90.00, 90.00, 90.00 degrees
Space group Cmme (No. 67)
Asymmetric unit:
K: 0.0000 0.2500 0.2444 [4 per cell]
Li: 0.0000 0.0000 0.0000 [4 per cell]
Tl: 0.2500 0.0000 0.5000 [4 per cell]
O: 0.0000 0.0999 0.7198 [8 per cell]